# Na2Fe4O7
Calculated powder diffraction line list, copper Kα. Input: a crystal structure in Alexandria, relaxed with PBE+U.

Atomic structure:
a b c (Å): 5.1316 5.1316 6.6696
angles (deg): 90.00 90.00 120.00
Positions (direct):
Na1 0.3333 0.6667 0.0000
Na2 0.6667 0.3333 0.0000
Fe1 0.0000 0.0000 0.2771
Fe2 0.0000 0.0000 0.7229
Fe3 0.3333 0.6667 0.5000
Fe4 0.6667 0.3333 0.5000
O1 0.0000 0.0000 0.0000
O2 0.0000 0.3634 0.6664
O3 0.0000 0.6366 0.3336
O4 0.3634 0.0000 0.6664
O5 0.3634 0.3634 0.3336
O6 0.6366 0.0000 0.3336
O7 0.6366 0.6366 0.6664

Principal peaks in the range 2θ = 10–90°, in order of rising 2θ:
(0 0 1), 13.27 deg, intensity 88
(1 0 2), 33.60 deg, intensity 100
(1 1 0), 34.97 deg, intensity 96
(2 -1 2), 44.56 deg, intensity 19
(2 0 2), 49.28 deg, intensity 38
(3 -1 2), 61.85 deg, intensity 33
(3 0 0), 62.72 deg, intensity 33
(1 1 4), 66.93 deg, intensity 34